(1)
For Li2Si3Ni3O10, a structure optimized by DFT (PBE+U) gives the theoretical powder diffraction line list in this record (Cu Kα).
Kinematic intensities with the Lorentz-polarization factor, no thermal factor.

Principal peaks in the range 2θ from 10° to 90°, by angle:
11.32 deg, I = 92.9; 20.23 deg, I = 17.4; 26.47 deg, I = 100.0; 33.09 deg, I = 44.2; 35.02 deg, I = 21.2; 35.85 deg, I = 18.3; 36.00 deg, I = 17.1; 37.45 deg, I = 34.4; 39.46 deg, I = 15.4; 54.51 deg, I = 17.4

Cell lengths 8.182, 8.182, 10.227 Å; angles 93.09, 93.09, 33.92 degrees
Fractional coordinates of all 36 atoms:
Li  0.156  0.734  0.527
Li  0.266  0.844  0.973
Li  0.734  0.156  0.027
Li  0.844  0.266  0.473
Si  0.156  0.531  0.093
Si  0.189  0.811  0.250
Si  0.469  0.844  0.407
Si  0.531  0.156  0.593
Si  0.811  0.189  0.750
Si  0.844  0.469  0.907
Ni  0.000  0.500  0.500
Ni  0.065  0.620  0.785
Ni  0.380  0.935  0.715
Ni  0.500  0.000  0.000
Ni  0.620  0.065  0.285
Ni  0.935  0.380  0.215
O  0.044  0.053  0.642
O  0.053  0.044  0.142
O  0.128  0.183  0.398
O  0.183  0.128  0.898
O  0.248  0.286  0.167
O  0.286  0.248  0.667
O  0.299  0.387  0.948
O  0.356  0.514  0.170
O  0.387  0.299  0.448
O  0.486  0.644  0.330
O  0.514  0.356  0.670
O  0.613  0.701  0.552
O  0.644  0.486  0.830
O  0.701  0.613  0.052
O  0.714  0.752  0.333
O  0.752  0.714  0.833
O  0.817  0.872  0.102
O  0.872  0.817  0.602
O  0.947  0.956  0.858
O  0.956  0.947  0.358

(2)
For MgSc2Mn4O10, a structure optimized by DFT (PBE+U) gives the theoretical powder diffraction line list in this record (Cu Kα).
Kinematic intensities with the Lorentz-polarization factor, no thermal factor.

Principal peaks in the range 2θ from 10° to 90°, by angle:
17.49 deg, I = 88.7; 23.82 deg, I = 100.0; 31.19 deg, I = 36.3; 32.47 deg, I = 58.3; 34.65 deg, I = 53.4; 35.57 deg, I = 36.0; 43.69 deg, I = 41.7; 45.14 deg, I = 60.6; 54.39 deg, I = 23.7; 56.72 deg, I = 50.2

Cell lengths 5.465, 5.465, 10.134 Å; angles 92.26, 92.26, 43.12 degrees
Fractional coordinates of all 17 atoms:
Mg  0.000  0.000  0.000
Sc  0.308  0.308  0.741
Sc  0.692  0.692  0.259
Mn  0.345  0.345  0.083
Mn  0.361  0.361  0.448
Mn  0.639  0.639  0.552
Mn  0.655  0.655  0.917
O  0.171  0.171  0.918
O  0.194  0.194  0.551
O  0.264  0.264  0.265
O  0.438  0.438  0.896
O  0.459  0.459  0.615
O  0.541  0.541  0.385
O  0.562  0.562  0.104
O  0.736  0.736  0.735
O  0.806  0.806  0.449
O  0.829  0.829  0.082

Number 2 is which compound?
MgSc2Mn4O10